Calculated powder XRD pattern of Pm2PrHo7 for Cu Kα, 1.54184 Å, from the PBE geometry in Alexandria.

Atomic structure:
```
Pm2PrHo7
1.0
6.188 0.000 0.000
-2.052 6.825 0.000
-1.021 -2.135 7.588
Pm Pr Ho
2 1 7
Direct
0.101 0.202 0.203
0.899 0.798 0.797
0.500 0.000 0.000
0.098 0.699 0.202
0.299 0.598 0.598
0.301 0.101 0.599
0.500 0.500 0.000
0.699 0.899 0.401
0.701 0.402 0.402
0.902 0.301 0.798
```

Main lines, by angle (10 to 90 degrees two-theta):
30.68 deg, rel. 100
30.80 deg, rel. 33
35.57 deg, rel. 45
35.69 deg, rel. 22
51.25 deg, rel. 32
60.79 deg, rel. 14
60.90 deg, rel. 14
60.98 deg, rel. 14
63.90 deg, rel. 12
83.53 deg, rel. 12


Calculated powder XRD pattern of PmPr12Ho6 for Cu Kα, 1.54184 Å, from the PBE geometry in Alexandria.

Atomic structure:
```
PmPr12Ho6
1.0
7.954 4.593 2.986
-7.954 4.593 2.986
0.000 -9.185 2.986
Pm Pr Ho
1 12 6
Direct
0.000 0.000 0.000
0.058 0.580 0.372
0.105 0.157 0.737
0.157 0.737 0.105
0.263 0.895 0.843
0.372 0.058 0.580
0.420 0.628 0.942
0.580 0.372 0.058
0.628 0.942 0.420
0.737 0.105 0.157
0.843 0.263 0.895
0.895 0.843 0.263
0.942 0.420 0.628
0.215 0.318 0.473
0.318 0.473 0.215
0.473 0.215 0.318
0.527 0.785 0.682
0.682 0.527 0.785
0.785 0.682 0.527
```

Main lines, by angle (10 to 90 degrees two-theta):
29.96 deg, rel. 100
34.74 deg, rel. 51
49.94 deg, rel. 36
59.34 deg, rel. 43
62.30 deg, rel. 9
73.31 deg, rel. 6
81.07 deg, rel. 4
81.21 deg, rel. 13
83.69 deg, rel. 8
83.80 deg, rel. 8


Calculated powder XRD pattern of Pm4Pr4Ho for Cu Kα, 1.54184 Å, from the PBE geometry in Alexandria.

Atomic structure:
```
Pm4Pr4Ho
1.0
3.794 0.000 0.000
-1.896 6.715 0.000
-1.893 -2.970 12.430
Pm Pr Ho
4 4 1
Direct
0.111 0.248 0.470
0.311 0.842 0.278
0.689 0.158 0.722
0.889 0.752 0.530
0.160 0.932 0.891
0.405 0.583 0.728
0.595 0.417 0.272
0.840 0.068 0.109
0.500 0.500 0.000
```

Main lines, by angle (10 to 90 degrees two-theta):
28.06 deg, rel. 39
28.77 deg, rel. 76
29.44 deg, rel. 100
29.86 deg, rel. 75
30.67 deg, rel. 70
30.92 deg, rel. 62
31.37 deg, rel. 82
31.49 deg, rel. 72
32.04 deg, rel. 59
47.96 deg, rel. 37


Calculated powder XRD pattern of Pm2Pr7Ho for Cu Kα, 1.54184 Å, from the PBE geometry in Alexandria.

Atomic structure:
```
Pm2Pr7Ho
1.0
6.099 -8.518 0.000
6.099 8.518 0.000
0.000 0.000 3.573
Pm Pr Ho
2 7 1
Direct
0.168 0.832 0.000
0.832 0.168 0.000
0.128 0.381 0.000
0.322 0.678 0.500
0.381 0.128 0.000
0.500 0.500 0.000
0.619 0.872 0.000
0.678 0.322 0.500
0.872 0.619 0.000
0.000 0.000 0.500
```

Main lines, by angle (10 to 90 degrees two-theta):
25.51 deg, rel. 46
28.96 deg, rel. 25
29.29 deg, rel. 77
30.45 deg, rel. 100
31.51 deg, rel. 24
32.71 deg, rel. 24
34.86 deg, rel. 32
37.05 deg, rel. 65
44.48 deg, rel. 22
47.91 deg, rel. 26


Calculated powder XRD pattern of Pm5Pr2Ho2 for Cu Kα, 1.54184 Å, from the PBE geometry in Alexandria.

Atomic structure:
```
Pm5Pr2Ho2
1.0
6.290 0.000 0.000
3.143 5.448 0.000
3.131 1.807 8.936
Pm Pr Ho
5 2 2
Direct
0.000 0.000 0.000
0.112 0.445 0.664
0.221 0.888 0.335
0.779 0.112 0.665
0.888 0.555 0.336
0.333 0.334 0.000
0.667 0.666 0.000
0.446 0.779 0.664
0.554 0.221 0.336
```

Main lines, by angle (10 to 90 degrees two-theta):
30.00 deg, rel. 34
30.12 deg, rel. 100
34.88 deg, rel. 68
50.08 deg, rel. 24
50.24 deg, rel. 24
59.49 deg, rel. 15
59.62 deg, rel. 24
59.70 deg, rel. 19
62.62 deg, rel. 12
84.28 deg, rel. 9


Calculated powder XRD pattern of Pm5Pr3Ho for Cu Kα, 1.54184 Å, from the PBE geometry in Alexandria.

Atomic structure:
```
Pm5Pr3Ho
1.0
5.712 -4.150 0.000
5.712 4.150 0.000
-0.847 0.000 13.971
Pm Pr Ho
10 6 2
Direct
0.009 0.009 0.256
0.053 0.487 0.332
0.175 0.825 0.000
0.245 0.245 0.879
0.487 0.053 0.332
0.513 0.947 0.668
0.755 0.755 0.121
0.825 0.175 0.000
0.947 0.513 0.668
0.991 0.991 0.744
0.141 0.141 0.508
0.263 0.263 0.117
0.500 0.500 0.000
0.500 0.500 0.500
0.737 0.737 0.883
0.859 0.859 0.492
0.477 0.477 0.752
0.523 0.523 0.248
```

Main lines, by angle (10 to 90 degrees two-theta):
21.41 deg, rel. 43
27.56 deg, rel. 40
28.82 deg, rel. 66
29.14 deg, rel. 100
30.82 deg, rel. 65
31.38 deg, rel. 65
33.49 deg, rel. 37
36.47 deg, rel. 26
43.62 deg, rel. 26
54.35 deg, rel. 24


Calculated powder XRD pattern of Pm7Pr3Ho2 for Cu Kα, 1.54184 Å, from the PBE geometry in Alexandria.

Atomic structure:
```
Pm7Pr3Ho2
1.0
5.959 0.000 0.000
0.000 3.631 0.000
-1.028 0.000 19.199
Pm Pr Ho
7 3 2
Direct
0.000 0.000 0.000
0.189 0.500 0.180
0.257 0.500 0.536
0.313 0.000 0.854
0.687 0.000 0.146
0.743 0.500 0.464
0.811 0.500 0.820
0.220 0.000 0.366
0.500 0.500 0.000
0.780 0.000 0.634
0.289 0.500 0.705
0.711 0.500 0.295
```

Main lines, by angle (10 to 90 degrees two-theta):
27.88 deg, rel. 30
30.04 deg, rel. 55
30.15 deg, rel. 39
30.55 deg, rel. 100
30.88 deg, rel. 33
31.01 deg, rel. 48
31.72 deg, rel. 23
32.47 deg, rel. 47
33.98 deg, rel. 42
53.03 deg, rel. 37


Calculated powder XRD pattern of Pm7Pr2Ho2 for Cu Kα, 1.54184 Å, from the PBE geometry in Alexandria.

Atomic structure:
```
Pm7Pr2Ho2
1.0
5.804 -5.782 0.000
5.804 5.782 0.000
-2.322 0.000 5.658
Pm Pr Ho
7 2 2
Direct
0.000 0.000 0.000
0.049 0.589 0.823
0.411 0.951 0.177
0.422 0.422 0.200
0.578 0.578 0.800
0.589 0.049 0.823
0.951 0.411 0.177
0.228 0.228 0.600
0.772 0.772 0.400
0.219 0.781 0.500
0.781 0.219 0.500
```

Main lines, by angle (10 to 90 degrees two-theta):
25.07 deg, rel. 22
29.58 deg, rel. 14
30.46 deg, rel. 29
30.95 deg, rel. 79
31.09 deg, rel. 100
33.44 deg, rel. 73
44.34 deg, rel. 18
49.56 deg, rel. 15
55.11 deg, rel. 13
61.38 deg, rel. 14